Starting from a DFT-relaxed cell (PBE, OQMD), the powder diffractogram of Sc12Ir3Br16 was simulated for Cu Kα.

The 10 most intense peaks (10 to 90 degrees two-theta), most intense first:
Position (°2θ), I (rel.), hkl
26.91, 100.0, -2 2 1
25.92, 78.5, 0 3 -2
36.10, 55.3, 0 3 1
28.46, 52.0, 0 0 3
24.89, 50.2, 0 2 -3
28.55, 43.4, 2 1 -3
28.89, 37.3, 2 -2 2
36.99, 33.7, -3 2 2
41.48, 33.1, 0 3 -5
26.17, 30.2, 0 2 1

Crystal structure
abc: 8.878 10.628 11.233
angles: 116.84 102.06 101.74
Space group P-1 (No. 2)
Asymmetric unit:
Sc: 0.046 0.211 0.478
Sc: 0.104 0.157 0.750
Sc: 0.214 0.745 0.344
Sc: 0.276 0.038 0.312
Sc: 0.360 0.962 0.688
Sc: 0.422 0.254 0.657
Ir: 0.160 0.000 0.501
Ir: 0.500 0.000 0.500
Br: 0.058 0.935 0.815
Br: 0.099 0.746 0.095
Br: 0.171 0.429 0.764
Br: 0.188 0.657 0.540
Br: 0.301 0.507 0.203
Br: 0.338 0.343 0.465
Br: 0.424 0.086 0.146
Br: 0.435 0.253 0.905